Simulated X-ray diffraction stick pattern of AlInHg2Br4 for CuKα, from a structure optimized by DFT (GGA-PBE).
Intensities are scaled so that the largest is 100.

Atomic structure:
```
8
Lattice="6.6262 0.0000 0.0000 -2.7350 6.1159 0.0000 -1.4439 -0.7700 7.6740" Properties=species:S:1:pos:R:3 pbc="T T T"
Al 0.0000 0.0000 0.0000
In -0.1574 4.3414 2.5588
Hg -1.3611 1.8194 4.2152
Hg 2.0158 1.0271 4.1073
Br -0.8979 2.1382 0.1503
Br 0.8834 -0.6419 7.6644
Br 1.6932 4.2967 5.7550
Br 3.2889 4.8490 1.8975
```

Principal peaks in the range 2θ from 10° to 90°, by angle:
d_spacing, two_theta, Rel. int.
7.674, 11.53, 74.8
4.552, 19.50, 59.9
3.403, 26.19, 100.0
3.330, 26.78, 55.3
3.247, 27.47, 89.2
3.109, 28.72, 64.8
3.043, 29.35, 38.6
2.976, 30.03, 35.2
2.819, 31.75, 33.1
2.621, 34.21, 45.2